# 1
# SrAl2Te4
Simulated X-ray powder pattern, copper Kα. Input: a structure optimized by DFT (GGA-PBE).

Cell and atoms:
Unit cell a=6.8481 b=6.8481 c=6.8481 alpha=103.98 beta=103.98 gamma=121.11
Fractional coordinates of all 7 atoms:
Sr: 0.0000 0.0000 0.0000
Al: 0.0000 0.5000 0.5000
Al: 0.5000 0.0000 0.5000
Te: 0.0781 0.5781 0.1562
Te: 0.4219 0.9219 0.8438
Te: 0.5781 0.4219 0.5000
Te: 0.9219 0.0781 0.5000

The 12 most intense peaks (2θ from 10° to 90°), in order of falling intensity:
d 3.291, 2θ = 27.10°, rel. 100
d 2.631, 2θ = 34.08°, rel. 34
d 1.957, 2θ = 46.39°, rel. 28
d 1.929, 2θ = 47.12°, rel. 22
d 1.712, 2θ = 53.54°, rel. 15
d 2.667, 2θ = 33.60°, rel. 14
d 2.982, 2θ = 29.97°, rel. 12
d 1.512, 2θ = 61.32°, rel. 12
d 3.366, 2θ = 26.48°, rel. 12
d 1.988, 2θ = 45.64°, rel. 9
d 5.262, 2θ = 16.85°, rel. 9
d 1.284, 2θ = 73.77°, rel. 9

=====

# 2
# Fe3Mo6PtN2
Simulated X-ray powder pattern, copper Kα. Input: a structure optimized by DFT (GGA-PBE).

Cell and atoms:
Unit cell a=6.7042 b=6.7051 c=6.7186 alpha=90.00 beta=90.15 gamma=90.00
Fractional coordinates of all 24 atoms:
Fe: 0.0607 0.0000 0.1708
Fe: 0.1793 0.7521 0.9325
Fe: 0.4236 0.8638 0.6968
Fe: 0.5764 0.3638 0.3032
Fe: 0.8207 0.2521 0.0675
Fe: 0.9393 0.5000 0.8292
Mo: 0.0541 0.8102 0.5474
Mo: 0.1200 0.1353 0.8050
Mo: 0.2004 0.3847 0.1221
Mo: 0.2903 0.4863 0.6315
Mo: 0.3723 0.7265 0.2947
Mo: 0.4541 0.0573 0.0433
Mo: 0.5459 0.5573 0.9567
Mo: 0.6277 0.2265 0.7053
Mo: 0.7097 0.9863 0.3685
Mo: 0.7996 0.8847 0.8779
Mo: 0.8800 0.6353 0.1950
Mo: 0.9459 0.3102 0.4526
Pt: 0.3146 0.1179 0.4337
Pt: 0.6854 0.6179 0.5663
N: 0.1242 0.5570 0.3761
N: 0.3743 0.3075 0.8734
N: 0.6257 0.8075 0.1266
N: 0.8758 0.0570 0.6239

The 12 most intense peaks (2θ from 10° to 90°), in order of falling intensity:
d 2.237, 2θ = 40.31°, rel. 100
d 2.120, 2θ = 42.65°, rel. 39
d 2.123, 2θ = 42.58°, rel. 33
d 2.234, 2θ = 40.37°, rel. 27
d 1.316, 2θ = 71.75°, rel. 20
d 2.024, 2θ = 44.78°, rel. 18
d 2.021, 2θ = 44.85°, rel. 16
d 1.245, 2θ = 76.54°, rel. 11
d 3.001, 2θ = 29.77°, rel. 10
d 1.246, 2θ = 76.46°, rel. 10
d 2.740, 2θ = 32.68°, rel. 9
d 1.792, 2θ = 50.97°, rel. 9